The following is a computed powder diffractogram of ICl3. It was derived from a structure optimized by DFT (GGA-PBE), using a wavelength of 1.5418 Å.
Kinematic intensities with the Lorentz-polarization factor, no thermal factor.

Structural model:
```
data_ICl3
_chemical_formula_sum 'I2 Cl6'
_space_group_name_H-M_alt 'P -1'
_space_group_IT_number 2
_space_group_name_Hall '-P 1'
_cell_length_a 6.0173
_cell_length_b 6.2388
_cell_length_c 8.8397
_cell_angle_alpha 71.27
_cell_angle_beta 84.61
_cell_angle_gamma 85.57
loop_
_atom_site_label
_atom_site_type_symbol
_atom_site_fract_x
_atom_site_fract_y
_atom_site_fract_z
I1 I 0.1796 0.4994 0.1836
Cl1 Cl 0.1213 0.7638 0.8750
Cl2 Cl 0.2090 0.2435 0.4496
Cl3 Cl 0.4425 0.7580 0.2043
```

Largest 12 diffraction maxima, by angle, 10 to 90 degrees two-theta:
2θ 10.6, I = 26, (0 0 1); 2θ 15.0, I = 63, (0 1 0); 2θ 17.6, I = 24, (1 0 1); 2θ 18.9, I = 46, (1 0 -1); 2θ 20.3, I = 16, (1 1 1); 2θ 21.8, I = 15, (0 1 2); 2θ 22.5, I = 100, (-1 1 1); 2θ 32.2, I = 26, (0 0 3); 2θ 32.3, I = 26, (2 1 1); 2θ 33.2, I = 55, (1 2 2); 2θ 45.5, I = 20, (3 0 0); 2θ 47.4, I = 28, (0 3 3)

=====

The following is a computed powder diffractogram of Ti4Pd. It was derived from a structure optimized by DFT (GGA-PBE), using a wavelength of 1.5418 Å.
Kinematic intensities with the Lorentz-polarization factor, no thermal factor.

Structural model:
```
data_Ti4Pd
_chemical_formula_sum 'Ti8 Pd2'
_space_group_name_H-M_alt 'I 4/m m m'
_space_group_IT_number 139
_space_group_name_Hall '-I 4 2'
_cell_length_a 2.9892
_cell_length_b 2.9892
_cell_length_c 18.8177
_cell_angle_alpha 90.00
_cell_angle_beta 90.00
_cell_angle_gamma 90.00
loop_
_atom_site_label
_atom_site_type_symbol
_atom_site_fract_x
_atom_site_fract_y
_atom_site_fract_z
Ti1 Ti 0.0000 0.0000 0.0955
Ti2 Ti 0.0000 0.0000 0.3048
Pd1 Pd 0.0000 0.0000 0.5000
```

Largest 12 diffraction maxima, by angle, 10 to 90 degrees two-theta:
2θ 18.9, I = 5, (0 0 4); 2θ 30.3, I = 8, (1 0 1); 2θ 33.2, I = 4, (1 0 3); 2θ 38.5, I = 100, (1 0 5); 2θ 42.8, I = 37, (1 1 0); 2θ 45.4, I = 6, (1 0 7); 2θ 48.4, I = 12, (0 0 10); 2θ 62.1, I = 11, (2 0 0); 2θ 66.5, I = 17, (1 1 10); 2θ 75.5, I = 26, (2 1 5); 2θ 82.4, I = 9, (2 0 10); 2θ 83.6, I = 8, (1 0 15)